Record 1
Starting from the GGA-PBE geometry in Alexandria, the powder diffraction line list of YGe3Rh5 was simulated for copper Kα.

Cell and atoms:
```
data_YGe3Rh5
_chemical_formula_sum 'Y4 Ge12 Rh20'
_symmetry_space_group_name_H-M 'C m c m'
_symmetry_Int_Tables_number 63
_symmetry_space_group_name_Hall '-C 2c 2'
_cell_length_a 4.0434
_cell_length_b 12.7741
_cell_length_c 12.0668
_cell_angle_alpha 90.00
_cell_angle_beta 90.00
_cell_angle_gamma 90.00
loop_
_atom_site_label
_atom_site_type_symbol
_atom_site_fract_x
_atom_site_fract_y
_atom_site_fract_z
Y1 Y 0.0000 0.1917 0.2500
Ge1 Ge 0.0000 0.1033 0.7500
Ge2 Ge 0.0000 0.3837 0.5554
Rh1 Rh 0.0000 0.0000 0.0000
Rh2 Rh 0.0000 0.2005 0.5718
Rh3 Rh 0.0000 0.4413 0.1401
```

Principal peaks in the range 10 to 90 degrees two-theta, most intense first:
2θ = 32.16°, intensity 100; 2θ = 37.87°, intensity 93; 2θ = 44.83°, intensity 86; 2θ = 41.82°, intensity 79; 2θ = 15.70°, intensity 55; 2θ = 48.37°, intensity 53


Record 2
Starting from the GGA-PBE geometry in Alexandria, the powder diffraction line list of Zr2Ge3Rh5 was simulated for copper Kα.

Cell and atoms:
```
data_Zr2Ge3Rh5
_chemical_formula_sum 'Zr8 Ge12 Rh20'
_symmetry_space_group_name_H-M 'C m c 21'
_symmetry_Int_Tables_number 36
_symmetry_space_group_name_Hall 'C 2c -2'
_cell_length_a 4.0106
_cell_length_b 24.2643
_cell_length_c 6.5932
_cell_angle_alpha 90.00
_cell_angle_beta 90.00
_cell_angle_gamma 90.00
loop_
_atom_site_label
_atom_site_type_symbol
_atom_site_fract_x
_atom_site_fract_y
_atom_site_fract_z
Zr1 Zr 0.0000 0.0203 0.0000
Zr2 Zr 0.0000 0.3262 0.0185
Ge1 Ge 0.0000 0.1133 0.7676
Ge2 Ge 0.0000 0.2704 0.5206
Ge3 Ge 0.0000 0.4566 0.7894
Rh1 Rh 0.0000 0.0987 0.3691
Rh2 Rh 0.0000 0.2033 0.2388
Rh3 Rh 0.0000 0.2116 0.8147
Rh4 Rh 0.0000 0.3747 0.5416
Rh5 Rh 0.0000 0.4440 0.1662
```

Principal peaks in the range 10 to 90 degrees two-theta, most intense first:
2θ = 37.01°, intensity 100; 2θ = 36.89°, intensity 58; 2θ = 45.22°, intensity 44; 2θ = 40.31°, intensity 27; 2θ = 39.58°, intensity 24; 2θ = 49.21°, intensity 19


Record 3
Starting from the GGA-PBE geometry in Alexandria, the powder diffraction line list of Ge2Ru was simulated for copper Kα.

Cell and atoms:
```
data_Ge2Ru
_chemical_formula_sum 'Ge2 Ru1'
_symmetry_space_group_name_H-M 'P 4/m m m'
_symmetry_Int_Tables_number 123
_symmetry_space_group_name_Hall '-P 4 2'
_cell_length_a 2.9946
_cell_length_b 2.9946
_cell_length_c 5.5501
_cell_angle_alpha 90.00
_cell_angle_beta 90.00
_cell_angle_gamma 90.00
loop_
_atom_site_label
_atom_site_type_symbol
_atom_site_fract_x
_atom_site_fract_y
_atom_site_fract_z
Ge1 Ge 0.0000 0.0000 0.2247
Ru1 Ru 0.5000 0.5000 0.5000
```

Principal peaks in the range 10 to 90 degrees two-theta, most intense first:
2θ = 44.51°, intensity 100; 2θ = 42.70°, intensity 60; 2θ = 34.02°, intensity 57; 2θ = 15.97°, intensity 37; 2θ = 79.46°, intensity 35; 2θ = 61.98°, intensity 19


Record 4
Starting from the GGA-PBE geometry in Alexandria, the powder diffraction line list of Ge3Ru2 was simulated for copper Kα.

Cell and atoms:
```
data_Ge3Ru2
_chemical_formula_sum 'Ge12 Ru8'
_symmetry_space_group_name_H-M 'P -4 c 2'
_symmetry_Int_Tables_number 116
_symmetry_space_group_name_Hall 'P -4 -2c'
_cell_length_a 5.7836
_cell_length_b 5.7836
_cell_length_c 9.3553
_cell_angle_alpha 90.00
_cell_angle_beta 90.00
_cell_angle_gamma 90.00
loop_
_atom_site_label
_atom_site_type_symbol
_atom_site_fract_x
_atom_site_fract_y
_atom_site_fract_z
Ge1 Ge 0.1510 0.2818 0.4149
Ge2 Ge 0.3268 0.3268 0.7500
Ru1 Ru 0.0000 0.0000 0.2500
Ru2 Ru 0.0000 0.5000 0.1240
Ru3 Ru 0.5000 0.5000 0.0000
```

Principal peaks in the range 10 to 90 degrees two-theta, most intense first:
2θ = 39.83°, intensity 100; 2θ = 36.23°, intensity 52; 2θ = 44.63°, intensity 48; 2θ = 51.25°, intensity 47; 2θ = 36.03°, intensity 42; 2θ = 44.30°, intensity 35